# 1
Computed X-ray powder pattern of ThNi12B4 for Cu Ka, from a cell relaxed with PBE.

Structural model:
```
ThNi12B4
1.0
-3.6557 3.6557 3.6557
3.6557 -3.6557 3.6557
3.6557 3.6557 -3.6557
Th Ni B
1 12 4
Direct
0.0000 0.0000 0.0000 Th
0.1478 0.3343 0.8134 Ni
0.1866 0.5209 0.3343 Ni
0.1866 0.8522 0.6657 Ni
0.3343 0.1866 0.5209 Ni
0.3343 0.8134 0.1478 Ni
0.4791 0.6657 0.8134 Ni
0.5209 0.3343 0.1866 Ni
0.6657 0.1866 0.8522 Ni
0.6657 0.8134 0.4791 Ni
0.8134 0.1478 0.3343 Ni
0.8134 0.4791 0.6657 Ni
0.8522 0.6657 0.1866 Ni
0.0000 0.0000 0.5000 B
0.0000 0.5000 0.0000 B
0.5000 0.0000 0.0000 B
0.5000 0.5000 0.5000 B
```

Top 6 peaks for 2θ = 5–70°, most intense first:
d (Å)  I/Imax
2.312  100
1.954  71
2.985  37
1.434  29
5.170  29
2.111  21

# 2
Computed X-ray powder pattern of Th2Ni3B for Cu Ka, from a cell relaxed with PBE.

Structural model:
```
Th2Ni3B
1.0
0.0000 3.9709 6.8756
3.7972 0.0000 6.8756
3.7972 3.9709 0.0000
Th Ni B
4 6 2
Direct
0.2469 0.7531 0.7531 Th
0.2500 0.2500 0.2500 Th
0.7500 0.7500 0.7500 Th
0.7531 0.2469 0.2469 Th
0.1818 0.1818 0.8182 Ni
0.1850 0.6339 0.3661 Ni
0.3661 0.8150 0.1850 Ni
0.6339 0.1850 0.8150 Ni
0.8150 0.3661 0.6339 Ni
0.8182 0.8182 0.1818 Ni
0.3334 0.3334 0.6666 B
0.6666 0.6666 0.3334 B
```

Top 6 peaks for 2θ = 5–70°, most intense first:
d (Å)  I/Imax
2.549  100
3.438  44
1.985  32
1.566  22
1.372  19
1.662  12

# 3
Computed X-ray powder pattern of Th2Ni21B6 for Cu Ka, from a cell relaxed with PBE.

Structural model:
```
Th2Ni21B6
1.0
0.0000 5.3885 5.3885
5.3885 0.0000 5.3885
5.3885 5.3885 0.0000
Th Ni B
2 21 6
Direct
0.2500 0.2500 0.2500 Th
0.7500 0.7500 0.7500 Th
0.0000 0.0000 0.0000 Ni
0.0000 0.0000 0.3363 Ni
0.0000 0.0000 0.6637 Ni
0.0000 0.3363 0.0000 Ni
0.0000 0.3363 0.6637 Ni
0.0000 0.6637 0.0000 Ni
0.0000 0.6637 0.3363 Ni
0.1660 0.6113 0.6113 Ni
0.3363 0.0000 0.0000 Ni
0.3363 0.0000 0.6637 Ni
0.3363 0.6637 0.0000 Ni
0.3887 0.3887 0.3887 Ni
0.3887 0.3887 0.8340 Ni
0.3887 0.8340 0.3887 Ni
0.6113 0.1660 0.6113 Ni
0.6113 0.6113 0.1660 Ni
0.6113 0.6113 0.6113 Ni
0.6637 0.0000 0.0000 Ni
0.6637 0.0000 0.3363 Ni
0.6637 0.3363 0.0000 Ni
0.8340 0.3887 0.3887 Ni
0.2683 0.2683 0.7317 B
0.2683 0.7317 0.2683 B
0.2683 0.7317 0.7317 B
0.7317 0.2683 0.2683 B
0.7317 0.2683 0.7317 B
0.7317 0.7317 0.2683 B
```

Top 6 peaks for 2θ = 5–70°, most intense first:
d (Å)  I/Imax
2.410  100
2.074  88
2.200  85
1.905  41
3.810  37
5.389  33

# 4
Computed X-ray powder pattern of Tl2Ni2B for Cu Ka, from a cell relaxed with PBE.

Structural model:
```
Tl2Ni2B
1.0
-2.6727 2.6727 3.2304
2.6727 -2.6727 3.2304
2.6727 2.6727 -3.2304
Tl Ni B
2 2 1
Direct
0.2500 0.7500 0.5000 Tl
0.7500 0.2500 0.5000 Tl
0.2142 0.2142 0.0000 Ni
0.7858 0.7858 0.0000 Ni
0.5000 0.5000 0.0000 B
```

Top 6 peaks for 2θ = 5–70°, most intense first:
d (Å)  I/Imax
2.673  100
2.059  85
3.230  74
3.780  55
2.456  46
1.631  41